Calculated powder diffractogram of Tb2PrHgC for λ = 1.5418 Å (Cu Kα), from a crystal structure in Alexandria, relaxed with PBE.

Principal peaks in the range 2θ = 15–90°, in order of falling intensity:
two_theta	I (rel.)
31.1	100.0
36.7	28.1
34.5	26.1
30.1	24.9
51.3	21.6
59.7	20.8
39.0	12.5
62.7	11.5
55.5	10.3
83.9	7.8
61.4	7.6
45.0	6.2

Atomic structure:
a = 7.136 Å, b = 7.136 Å, c = 7.136 Å
α = 122.01°, β = 122.01°, γ = 86.55°
Element x y z (fractional)
Tb1 0.193 0.693 0.886
Tb2 0.307 0.193 0.500
Tb3 0.693 0.807 0.500
Tb4 0.807 0.307 0.114
Pr1 0.250 0.250 0.000
Pr2 0.750 0.750 0.000
Hg1 0.250 0.750 0.500
Hg2 0.750 0.250 0.500
C1 0.000 0.000 0.000
C2 0.500 0.500 0.000

Calculated powder diffractogram of PuPa2Se6 for λ = 1.5418 Å (Cu Kα), from a crystal structure in Alexandria, relaxed with PBE.

Principal peaks in the range 2θ = 15–90°, in order of falling intensity:
two_theta	I (rel.)
18.1	100.0
37.8	84.0
33.0	77.7
25.0	76.1
36.6	56.7
19.1	53.2
25.1	50.8
30.4	44.8
41.8	43.0
41.0	32.5
38.4	32.4
45.5	30.1

Atomic structure:
a = 7.592 Å, b = 7.592 Å, c = 9.331 Å
α = 124.47°, β = 124.47°, γ = 41.89°
Element x y z (fractional)
Pu1 0.000 0.000 0.000
Pa1 0.183 0.183 0.608
Pa2 0.817 0.817 0.392
Se1 0.042 0.042 0.723
Se2 0.260 0.260 0.378
Se3 0.372 0.372 0.952
Se4 0.628 0.628 0.048
Se5 0.740 0.740 0.622
Se6 0.958 0.958 0.277

Calculated powder diffractogram of Pm4TmSb5 for λ = 1.5418 Å (Cu Kα), from a crystal structure in Alexandria, relaxed with PBE.

Principal peaks in the range 2θ = 15–90°, in order of falling intensity:
two_theta	I (rel.)
28.3	100.0
40.4	76.3
50.1	27.3
73.5	25.8
66.2	23.5
58.5	12.8
66.3	11.5
87.4	8.4
24.4	2.3
47.8	1.3
64.3	0.6

Atomic structure:
a = 16.078 Å, b = 16.078 Å, c = 16.078 Å
α = 164.04°, β = 164.04°, γ = 22.65°
Element x y z (fractional)
Pm1 0.099 0.099 0.000
Pm2 0.301 0.301 0.000
Pm3 0.699 0.699 0.000
Pm4 0.901 0.901 0.000
Tm1 0.500 0.500 0.000
Sb1 0.000 0.000 0.000
Sb2 0.200 0.200 0.000
Sb3 0.402 0.402 0.000
Sb4 0.598 0.598 0.000
Sb5 0.800 0.800 0.000

Calculated powder diffractogram of La5S6 for λ = 1.5418 Å (Cu Kα), from a crystal structure in Alexandria, relaxed with PBE.

Principal peaks in the range 2θ = 15–90°, in order of falling intensity:
two_theta	I (rel.)
30.4	100.0
26.3	27.9
43.4	24.3
43.5	24.0
43.7	23.9
26.2	16.3
26.4	13.9
54.0	12.7
51.5	12.0
63.3	11.5
71.6	11.2
71.8	10.6

Atomic structure:
a = 7.207 Å, b = 7.207 Å, c = 7.168 Å
α = 99.61°, β = 99.61°, γ = 119.83°
Element x y z (fractional)
La1 0.000 0.000 0.000
La2 0.167 0.833 0.500
La3 0.338 0.662 0.000
La4 0.662 0.338 0.000
La5 0.833 0.167 0.500
S1 0.075 0.415 0.245
S2 0.245 0.245 0.748
S3 0.415 0.075 0.245
S4 0.585 0.925 0.755
S5 0.755 0.755 0.252
S6 0.925 0.585 0.755

Calculated powder diffractogram of La2Al4GaPt3 for λ = 1.5418 Å (Cu Kα), from a crystal structure in Alexandria, relaxed with PBE.

Principal peaks in the range 2θ = 15–90°, in order of falling intensity:
two_theta	I (rel.)
33.7	100.0
32.8	95.3
41.4	81.1
30.2	68.9
26.6	60.5
53.8	47.3
48.2	38.3
65.3	30.8
28.9	30.6
45.4	27.3
60.0	27.3
25.5	26.5

Atomic structure:
a = 4.363 Å, b = 4.363 Å, c = 10.482 Å
α = 90.00°, β = 90.00°, γ = 90.00°
Element x y z (fractional)
La1 0.000 0.500 0.249
La2 0.500 0.000 0.751
Al1 0.000 0.000 0.500
Al2 0.000 0.500 0.865
Al3 0.500 0.000 0.135
Al4 0.500 0.500 0.500
Ga1 0.500 0.500 0.000
Pt1 0.000 0.000 0.000
Pt2 0.000 0.500 0.627
Pt3 0.500 0.000 0.373

Calculated powder diffractogram of Tb3Nd3Y2 for λ = 1.5418 Å (Cu Kα), from a crystal structure in Alexandria, relaxed with PBE.

Principal peaks in the range 2θ = 15–90°, in order of falling intensity:
two_theta	I (rel.)
32.1	100.0
31.0	24.6
28.1	23.7
55.8	20.9
42.3	15.7
59.7	14.9
49.7	13.0
60.4	10.8
59.6	7.5
49.6	6.6
85.6	5.5
60.5	5.5

Atomic structure:
a = 5.775 Å, b = 14.703 Å, c = 6.346 Å
α = 90.00°, β = 90.00°, γ = 90.00°
Element x y z (fractional)
Tb1 0.250 0.001 0.166
Tb2 0.250 0.250 0.173
Tb3 0.250 0.499 0.166
Tb4 0.750 0.501 0.834
Tb5 0.750 0.750 0.827
Tb6 0.750 0.999 0.834
Nd1 0.250 0.125 0.671
Nd2 0.250 0.375 0.671
Nd3 0.250 0.750 0.161
Nd4 0.750 0.250 0.839
Nd5 0.750 0.625 0.329
Nd6 0.750 0.875 0.329
Y1 0.250 0.624 0.664
Y2 0.250 0.876 0.664
Y3 0.750 0.124 0.336
Y4 0.750 0.376 0.336